Structure and calculated powder diffraction line list of HgSb4Os (a crystal structure in Alexandria, relaxed with GGA-PBE; Cu Kα (weighted mean of Kα1 and Kα2)).
Kinematic intensities with the Lorentz-polarization factor, no thermal factor.

Principal peaks in the range 2θ = 10–90°, low angle first:
| 2theta | intensity | h k l |
| --- | --- | --- |
| 29.21 | 43 | 2 2 0 |
| 34.40 | 100 | 3 1 1 |
| 35.98 | 26 | 2 2 2 |
| 51.80 | 18 | 4 2 2 |
| 55.20 | 34 | 5 1 1 |
| 60.58 | 28 | 4 4 0 |
| 68.65 | 8 | 6 2 0 |
| 71.56 | 12 | 5 3 3 |
| 72.52 | 10 | 6 2 2 |
| 83.70 | 9 | 6 4 2 |
| 86.45 | 22 | 7 3 1 |

Atomic structure:
```
data_HgSb4Os
_cell_length_a 8.647
_cell_length_b 8.647
_cell_length_c 8.647
_cell_angle_alpha 90.00
_cell_angle_beta 90.00
_cell_angle_gamma 90.00
_symmetry_space_group_name_H-M 'F -4 3 m'
_symmetry_Int_Tables_number 216
_symmetry_space_group_name_Hall 'F -4 2 3'
loop_
_atom_site_label
_atom_site_type_symbol
_atom_site_fract_x
_atom_site_fract_y
_atom_site_fract_z
Hg1 Hg 0.000 0.000 0.000
Sb1 Sb 0.125 0.125 0.375
Os1 Os 0.250 0.250 0.750
```


Structure and calculated powder diffraction line list of Sc8HgOs2 (a crystal structure in Alexandria, relaxed with GGA-PBE; Cu Kα (weighted mean of Kα1 and Kα2)).
Kinematic intensities with the Lorentz-polarization factor, no thermal factor.

Principal peaks in the range 2θ = 10–90°, low angle first:
| 2theta | intensity | h k l |
| --- | --- | --- |
| 22.73 | 79 | 0 3 1 |
| 22.85 | 68 | 1 0 1 |
| 25.89 | 51 | 1 3 0 |
| 36.79 | 27 | 0 6 0 |
| 37.09 | 41 | 2 0 0 |
| 38.00 | 100 | 1 3 2 |
| 43.74 | 41 | 1 6 1 |
| 43.95 | 29 | 2 3 1 |
| 45.67 | 43 | 1 0 3 |
| 53.24 | 19 | 2 6 0 |
| 60.21 | 18 | 2 3 3 |
| 67.46 | 18 | 3 3 2 |

Atomic structure:
```
data_Sc8HgOs2
_cell_length_a 4.847
_cell_length_b 14.661
_cell_length_c 6.527
_cell_angle_alpha 90.00
_cell_angle_beta 90.00
_cell_angle_gamma 90.00
_symmetry_space_group_name_H-M 'I m m 2'
_symmetry_Int_Tables_number 44
loop_
_symmetry_equiv_pos_as_xyz
'x,y,z'
'-x,-y,z'
'-x,y,z'
'x,-y,z'
'x+1/2,y+1/2,z+1/2'
'-x+1/2,-y+1/2,z+1/2'
'-x+1/2,y+1/2,z+1/2'
'x+1/2,-y+1/2,z+1/2'
loop_
_atom_site_label
_atom_site_type_symbol
_atom_site_fract_x
_atom_site_fract_y
_atom_site_fract_z
Sc1 Sc 0.000 0.000 0.000
Sc2 Sc 0.000 0.114 0.563
Sc3 Sc 0.000 0.293 0.879
Sc4 Sc 0.000 0.333 0.421
Sc5 Sc 0.000 0.500 0.776
Hg1 Hg 0.000 0.500 0.203
Os1 Os 0.000 0.169 0.184
```


Structure and calculated powder diffraction line list of SiHg2Os2 (a crystal structure in Alexandria, relaxed with GGA-PBE; Cu Kα (weighted mean of Kα1 and Kα2)).
Kinematic intensities with the Lorentz-polarization factor, no thermal factor.

Principal peaks in the range 2θ = 10–90°, low angle first:
| 2theta | intensity | h k l |
| --- | --- | --- |
| 10.64 | 77 | 0 0 2 |
| 25.98 | 65 | 1 0 1 |
| 32.29 | 46 | 0 0 6 |
| 37.27 | 56 | 1 0 5 |
| 37.88 | 77 | 1 1 2 |
| 42.46 | 100 | 1 1 4 |
| 43.53 | 16 | 0 0 8 |
| 52.20 | 38 | 2 0 0 |
| 62.73 | 29 | 2 0 6 |
| 65.88 | 22 | 2 1 5 |
| 67.86 | 34 | 1 1 10 |
| 70.25 | 16 | 2 0 8 |

Atomic structure:
```
data_SiHg2Os2
_cell_length_a 3.504
_cell_length_b 3.504
_cell_length_c 16.633
_cell_angle_alpha 90.00
_cell_angle_beta 90.00
_cell_angle_gamma 90.00
_symmetry_space_group_name_H-M 'I 4/m m m'
_symmetry_Int_Tables_number 139
_symmetry_space_group_name_Hall '-I 4 2'
loop_
_atom_site_label
_atom_site_type_symbol
_atom_site_fract_x
_atom_site_fract_y
_atom_site_fract_z
Si1 Si 0.000 0.000 0.000
Hg1 Hg 0.000 0.000 0.397
Os1 Os 0.000 0.500 0.250
```